Diffraction record for CrP3O9. The powder XRD pattern is computed, not measured: it uses DFT lattice parameters and positions (PBE+U) and λ = 1.5418 Å (Cu Kα).

Atomic structure:
```
data_CrP3O9
_symmetry_space_group_name_H-M 'P 1'
_symmetry_Int_Tables_number 1
_symmetry_space_group_name_Hall 'P 1'
_cell_length_a 7.418
_cell_length_b 7.418
_cell_length_c 9.522
_cell_angle_alpha 122.10
_cell_angle_beta 122.10
_cell_angle_gamma 52.31
loop_
_atom_site_label
_atom_site_type_symbol
_atom_site_fract_x
_atom_site_fract_y
_atom_site_fract_z
_atom_site_occupancy
Cr1 Cr 0.000 0.500 0.000 1
Cr2 Cr 0.500 0.000 0.500 1
P1 P 0.048 0.952 0.750 1
P2 P 0.292 0.482 0.823 1
P3 P 0.482 0.292 0.323 1
P4 P 0.518 0.708 0.677 1
P5 P 0.708 0.518 0.177 1
P6 P 0.952 0.048 0.250 1
O1 O 0.035 0.172 0.904 1
O2 O 0.138 0.754 0.825 1
O3 O 0.145 0.414 0.832 1
O4 O 0.172 0.035 0.404 1
O5 O 0.246 0.862 0.675 1
O6 O 0.331 0.388 0.171 1
O7 O 0.388 0.331 0.671 1
O8 O 0.414 0.145 0.332 1
O9 O 0.500 0.500 0.000 1
O10 O 0.500 0.500 0.500 1
O11 O 0.586 0.855 0.668 1
O12 O 0.612 0.669 0.329 1
O13 O 0.669 0.612 0.829 1
O14 O 0.754 0.138 0.325 1
O15 O 0.828 0.965 0.596 1
O16 O 0.855 0.586 0.168 1
O17 O 0.862 0.246 0.175 1
O18 O 0.965 0.828 0.096 1
```

Main lines, low angle first (5 to 70 degrees two-theta):
2theta	d (Å)	Rel. int.
16.50	5.371	12
22.39	3.971	100
25.69	3.467	46
27.02	3.300	10
28.44	3.139	15
31.63	2.829	15
32.06	2.792	14
36.45	2.465	10